AcLa2AgC: calculated X-ray powder pattern (λ = 1.5418 Å (Cu Kα)), based on the GGA-PBE geometry in Alexandria.
Lines closer than 0.1° are merged.

```
data_AcLa2AgC
_cell_length_a 5.0401
_cell_length_b 5.0401
_cell_length_c 5.8225
_cell_angle_alpha 90.00
_cell_angle_beta 90.00
_cell_angle_gamma 90.00
_symmetry_space_group_name_H-M 'P 4 m m'
_symmetry_Int_Tables_number 99
loop_
_symmetry_equiv_pos_as_xyz
'x,y,z'
'-y,x,z'
'-x,-y,z'
'y,-x,z'
'-x,y,z'
'y,x,z'
'x,-y,z'
'-y,-x,z'
loop_
_atom_site_label
_atom_site_type_symbol
_atom_site_fract_x
_atom_site_fract_y
_atom_site_fract_z
Ac1 Ac 0.0000 0.0000 0.0000
La1 La 0.0000 0.5000 0.5049
Ag1 Ag 0.5000 0.5000 0.0299
C1 C 0.0000 0.0000 0.5702
```

Top 10 peaks for 10° ≤ 2θ ≤ 90°, low angle first:
hkl 1 1 1, 2θ = 29.4°, intensity 100.0
hkl 0 0 2, 2θ = 30.7°, intensity 23.4
hkl 2 0 0, 2θ = 35.6°, intensity 35.1
hkl 2 0 2, 2θ = 47.7°, intensity 27.4
hkl 2 2 0, 2θ = 51.3°, intensity 13.5
hkl 1 1 3, 2θ = 53.8°, intensity 18.4
hkl 3 1 1, 2θ = 60.2°, intensity 26.6
hkl 2 2 2, 2θ = 61.0°, intensity 13.1
hkl 4 0 0, 2θ = 75.4°, intensity 10.9
hkl 3 1 3, 2θ = 77.5°, intensity 12.5